1.
This entry pairs a crystal structure of VZn2IO7 with its calculated X-ray diffraction stick pattern. Radiation: Cu Kα (λ = 1.5418 Å). Structure: a PBE+U-relaxed structure.
Peak positions follow from Bragg's law for the DFT cell and can differ from measured ones.

Top 8 peaks for 2θ = 5–70°, by intensity:
hkl 1 2 -1, 2θ = 27.32°, I = 1000
hkl 1 1 1, 2θ = 27.17°, I = 498
hkl 1 2 1, 2θ = 31.17°, I = 427
hkl 0 2 1, 2θ = 23.74°, I = 382
hkl 0 1 1, 2θ = 18.29°, I = 356
hkl 1 0 -2, 2θ = 33.67°, I = 279
hkl 1 4 -2, 2θ = 49.36°, I = 236
hkl 1 3 0, 2θ = 31.30°, I = 201

Crystal structure
```
data_VZn2IO7
_chemical_formula_sum 'V2 Zn4 I2 O14'
_symmetry_space_group_name_H-M 'P 1 c 1'
_symmetry_Int_Tables_number 7
_symmetry_space_group_name_Hall 'P -2yc'
_cell_length_a 5.343
_cell_length_b 10.232
_cell_length_c 5.621
_cell_angle_alpha 90.00
_cell_angle_beta 101.50
_cell_angle_gamma 90.00
loop_
_atom_site_label
_atom_site_fract_x
_atom_site_fract_y
_atom_site_fract_z
_atom_site_occupancy
V1 0.000 0.143 0.000 1
Zn1 0.499 0.061 0.517 1
Zn2 0.849 0.368 0.456 1
I1 0.428 0.371 0.776 1
O1 0.099 0.236 0.766 1
O2 0.194 0.459 0.547 1
O3 0.271 0.061 0.166 1
O4 0.539 0.257 0.554 1
O5 0.692 0.483 0.720 1
O6 0.753 0.038 0.862 1
O7 0.878 0.249 0.181 1
```

2.
This entry pairs a crystal structure of Ba2FeGeO6 with its calculated X-ray diffraction stick pattern. Radiation: Cu Kα (λ = 1.5418 Å). Structure: a PBE+U-relaxed structure.
Peak positions follow from Bragg's law for the DFT cell and can differ from measured ones.

Top 8 peaks for 2θ = 5–70°, by intensity:
hkl 2 2 0, 2θ = 31.34°, I = 1000
hkl 4 2 2, 2θ = 55.79°, I = 389
hkl 4 0 0, 2θ = 44.92°, I = 328
hkl 4 4 0, 2θ = 65.40°, I = 197
hkl 2 2 2, 2θ = 38.64°, I = 144
hkl 2 0 0, 2θ = 22.02°, I = 74
hkl 4 2 0, 2θ = 50.57°, I = 40
hkl 4 4 2, 2θ = 69.92°, I = 23

Crystal structure
```
data_Ba2FeGeO6
_chemical_formula_sum 'Ba8 Fe4 Ge4 O24'
_symmetry_space_group_name_H-M 'F m -3 m'
_symmetry_Int_Tables_number 225
_symmetry_space_group_name_Hall '-F 4 2 3'
_cell_length_a 8.072
_cell_length_b 8.072
_cell_length_c 8.072
_cell_angle_alpha 90.00
_cell_angle_beta 90.00
_cell_angle_gamma 90.00
loop_
_atom_site_label
_atom_site_fract_x
_atom_site_fract_y
_atom_site_fract_z
_atom_site_occupancy
Ba1 0.250 0.250 0.250 1
Fe1 0.000 0.000 0.000 1
Ge1 0.000 0.000 0.500 1
O1 0.000 0.000 0.258 1
```